No. 1
For CaMg14Ga, DFT lattice parameters and positions (GGA-PBE) gives the theoretical powder XRD pattern in this record (λ = 1.5418 Å (Cu Kα)).
Neutral-atom scattering factors, no anomalous dispersion.

```
data_CaMg14Ga
_chemical_formula_sum 'Ca2 Mg28 Ga2'
_cell_length_a 10.502
_cell_length_b 6.341
_cell_length_c 11.218
_cell_angle_alpha 90.00
_cell_angle_beta 90.00
_cell_angle_gamma 90.00
_symmetry_space_group_name_H-M 'A m m 2'
_symmetry_Int_Tables_number 38
loop_
_symmetry_equiv_pos_as_xyz
'x,y,z'
'-x,-y,z'
'-x,y,z'
'x,-y,z'
'x,y+1/2,z+1/2'
'-x,-y+1/2,z+1/2'
'-x,y+1/2,z+1/2'
'x,-y+1/2,z+1/2'
loop_
_atom_site_label
_atom_site_fract_x
_atom_site_fract_y
_atom_site_fract_z
_atom_site_occupancy
Ca1 0.000 0.000 0.000 1
Mg1 0.000 0.244 0.251 1
Mg2 0.241 0.000 0.658 1
Mg3 0.257 0.246 0.411 1
Mg4 0.261 0.000 0.164 1
Mg5 0.500 0.000 0.498 1
Mg6 0.500 0.000 0.994 1
Mg7 0.500 0.246 0.745 1
Ga1 0.000 0.000 0.484 1
```

The 6 most intense peaks (10 to 90 degrees two-theta), by angle:
2.760 Å, intensity 24.9, (0 2 2); 2.626 Å, intensity 40.4, (4 0 0); 2.474 Å, intensity 51.3, (2 0 4); 2.443 Å, intensity 100.0, (2 2 2); 1.478 Å, intensity 19.2, (6 2 2); 1.373 Å, intensity 18.7, (4 2 6)

***

No. 2
For RbErS2, DFT lattice parameters and positions (GGA-PBE) gives the theoretical powder XRD pattern in this record (λ = 1.5418 Å (Cu Kα)).
Neutral-atom scattering factors, no anomalous dispersion.

```
data_RbErS2
_chemical_formula_sum 'Rb3 Er3 S6'
_cell_length_a 4.0463
_cell_length_b 4.0463
_cell_length_c 23.0279
_cell_angle_alpha 90.00
_cell_angle_beta 90.00
_cell_angle_gamma 120.00
_symmetry_space_group_name_H-M 'R -3 m'
_symmetry_Int_Tables_number 166
_symmetry_space_group_name_Hall '-R 3 2"'
loop_
_atom_site_label
_atom_site_fract_x
_atom_site_fract_y
_atom_site_fract_z
_atom_site_occupancy
Rb1 0.0000 0.0000 0.0000 1
Er1 0.0000 0.0000 0.5000 1
S1 0.0000 0.0000 0.2301 1
```

The 6 most intense peaks (10 to 90 degrees two-theta), by angle:
7.676 Å, intensity 34.0, (0 0 3); 3.838 Å, intensity 26.0, (0 0 6); 3.352 Å, intensity 47.3, (0 1 2); 2.993 Å, intensity 100.0, (1 0 4); 2.224 Å, intensity 36.8, (0 1 8); 2.023 Å, intensity 33.4, (1 1 0)

***

No. 3
For BaSrPrTiO6, DFT lattice parameters and positions (GGA-PBE) gives the theoretical powder XRD pattern in this record (λ = 1.5418 Å (Cu Kα)).
Neutral-atom scattering factors, no anomalous dispersion.

```
data_BaSrPrTiO6
_chemical_formula_sum 'Ba4 Sr4 Pr4 Ti4 O24'
_cell_length_a 8.600
_cell_length_b 8.600
_cell_length_c 8.600
_cell_angle_alpha 90.00
_cell_angle_beta 90.00
_cell_angle_gamma 90.00
_symmetry_space_group_name_H-M 'F -4 3 m'
_symmetry_Int_Tables_number 216
_symmetry_space_group_name_Hall 'F -4 2 3'
loop_
_atom_site_label
_atom_site_fract_x
_atom_site_fract_y
_atom_site_fract_z
_atom_site_occupancy
Ba1 0.000 0.000 0.000 1
Sr1 0.000 0.000 0.500 1
Pr1 0.250 0.250 0.250 1
Ti1 0.250 0.250 0.750 1
O1 0.021 0.250 0.750 1
```

The 6 most intense peaks (10 to 90 degrees two-theta), by angle:
3.041 Å, intensity 100.0, (2 2 0); 2.150 Å, intensity 32.7, (4 0 0); 1.756 Å, intensity 39.7, (4 2 2); 1.520 Å, intensity 19.9, (4 4 0); 1.360 Å, intensity 18.2, (6 2 0); 1.149 Å, intensity 21.2, (6 4 2)

***

No. 4
For Pr3Ni3Bi4, DFT lattice parameters and positions (GGA-PBE) gives the theoretical powder XRD pattern in this record (λ = 1.5418 Å (Cu Kα)).
Neutral-atom scattering factors, no anomalous dispersion.

```
data_Pr3Ni3Bi4
_chemical_formula_sum 'Pr12 Ni12 Bi16'
_cell_length_a 9.909
_cell_length_b 9.909
_cell_length_c 9.909
_cell_angle_alpha 90.00
_cell_angle_beta 90.00
_cell_angle_gamma 90.00
_symmetry_space_group_name_H-M 'I -4 3 d'
_symmetry_Int_Tables_number 220
_symmetry_space_group_name_Hall 'I -4bd 2c 3'
loop_
_atom_site_label
_atom_site_fract_x
_atom_site_fract_y
_atom_site_fract_z
_atom_site_occupancy
Pr1 0.000 0.250 0.875 1
Ni1 0.000 0.250 0.375 1
Bi1 0.078 0.422 0.578 1
```

The 6 most intense peaks (10 to 90 degrees two-theta), by angle:
3.133 Å, intensity 66.4, (3 1 0); 2.648 Å, intensity 100.0, (3 2 1); 2.216 Å, intensity 18.3, (4 2 0); 2.023 Å, intensity 24.3, (4 2 2); 1.943 Å, intensity 24.1, (4 3 1); 1.607 Å, intensity 19.1, (6 1 1)

***

No. 5
For Ho2As7Rh12, DFT lattice parameters and positions (GGA-PBE) gives the theoretical powder XRD pattern in this record (λ = 1.5418 Å (Cu Kα)).
Neutral-atom scattering factors, no anomalous dispersion.

```
data_Ho2As7Rh12
_chemical_formula_sum 'Ho2 As7 Rh12'
_cell_length_a 10.0165
_cell_length_b 10.0165
_cell_length_c 3.9239
_cell_angle_alpha 90.00
_cell_angle_beta 90.00
_cell_angle_gamma 120.00
_symmetry_space_group_name_H-M 'P -3'
_symmetry_Int_Tables_number 147
loop_
_symmetry_equiv_pos_as_xyz
'x,y,z'
'-x,-y,-z'
'-y,x-y,z'
'y,-x+y,-z'
'-x+y,-x,z'
'x-y,x,-z'
loop_
_atom_site_label
_atom_site_fract_x
_atom_site_fract_y
_atom_site_fract_z
_atom_site_occupancy
Ho1 0.3333 0.6667 0.2506 1
As1 0.0000 0.0000 0.5000 1
As2 0.1183 0.7129 0.7511 1
Rh1 0.0672 0.4491 0.7510 1
Rh2 0.1145 0.2635 0.2491 1
```

The 6 most intense peaks (10 to 90 degrees two-theta), by angle:
2.516 Å, intensity 100.0, (2 1 1); 2.504 Å, intensity 10.0, (2 2 0); 2.051 Å, intensity 14.1, (4 -1 1); 1.962 Å, intensity 17.5, (0 0 2); 1.893 Å, intensity 25.8, (1 4 0); 1.362 Å, intensity 14.0, (1 4 2)

***

No. 6
For K4BaU3O12, DFT lattice parameters and positions (GGA-PBE) gives the theoretical powder XRD pattern in this record (λ = 1.5418 Å (Cu Kα)).
Neutral-atom scattering factors, no anomalous dispersion.

```
data_K4BaU3O12
_chemical_formula_sum 'K8 Ba2 U6 O24'
_cell_length_a 8.912
_cell_length_b 8.912
_cell_length_c 8.912
_cell_angle_alpha 90.00
_cell_angle_beta 90.00
_cell_angle_gamma 90.00
_symmetry_space_group_name_H-M 'I m -3 m'
_symmetry_Int_Tables_number 229
_symmetry_space_group_name_Hall '-I 4 2 3'
loop_
_atom_site_label
_atom_site_fract_x
_atom_site_fract_y
_atom_site_fract_z
_atom_site_occupancy
K1 0.250 0.250 0.250 1
Ba1 0.000 0.000 0.000 1
U1 0.000 0.000 0.500 1
O1 0.000 0.000 0.284 1
O2 0.000 0.250 0.500 1
```

The 6 most intense peaks (10 to 90 degrees two-theta), by angle:
4.456 Å, intensity 71.0, (2 0 0); 3.151 Å, intensity 100.0, (2 2 0); 2.228 Å, intensity 30.8, (4 0 0); 1.993 Å, intensity 34.0, (4 2 0); 1.819 Å, intensity 41.2, (4 2 2); 1.191 Å, intensity 22.8, (6 4 2)

***

No. 7
For SnHBr3N, DFT lattice parameters and positions (GGA-PBE) gives the theoretical powder XRD pattern in this record (λ = 1.5418 Å (Cu Kα)).
Neutral-atom scattering factors, no anomalous dispersion.

```
data_SnHBr3N
_chemical_formula_sum 'Sn2 H2 Br6 N2'
_cell_length_a 10.004
_cell_length_b 3.584
_cell_length_c 10.830
_cell_angle_alpha 90.00
_cell_angle_beta 96.75
_cell_angle_gamma 90.00
_symmetry_space_group_name_H-M 'P 1 21/m 1'
_symmetry_Int_Tables_number 11
loop_
_symmetry_equiv_pos_as_xyz
'x,y,z'
'-x,-y,-z'
'-x,y+1/2,-z'
'x,-y+1/2,z'
loop_
_atom_site_label
_atom_site_fract_x
_atom_site_fract_y
_atom_site_fract_z
_atom_site_occupancy
Sn1 0.148 0.250 0.177 1
H1 0.343 0.250 0.922 1
Br1 0.004 0.750 0.303 1
Br2 0.310 0.750 0.943 1
Br3 0.360 0.250 0.333 1
N1 0.237 0.750 0.587 1
```

The 6 most intense peaks (10 to 90 degrees two-theta), by angle:
7.767 Å, intensity 66.0, (1 0 -1); 6.905 Å, intensity 50.6, (1 0 1); 3.452 Å, intensity 74.0, (2 0 2); 2.909 Å, intensity 100.0, (1 1 -2); 2.856 Å, intensity 94.1, (2 1 -1); 1.971 Å, intensity 45.1, (4 1 1)

***

No. 8
For Al4Ge2W3, DFT lattice parameters and positions (GGA-PBE) gives the theoretical powder XRD pattern in this record (λ = 1.5418 Å (Cu Kα)).
Neutral-atom scattering factors, no anomalous dispersion.

```
data_Al4Ge2W3
_chemical_formula_sum 'Al8 Ge4 W6'
_cell_length_a 4.855
_cell_length_b 8.422
_cell_length_c 6.723
_cell_angle_alpha 90.00
_cell_angle_beta 90.42
_cell_angle_gamma 90.00
_symmetry_space_group_name_H-M 'C 1 2 1'
_symmetry_Int_Tables_number 5
loop_
_symmetry_equiv_pos_as_xyz
'x,y,z'
'-x,y,-z'
'x+1/2,y+1/2,z'
'-x+1/2,y+1/2,-z'
loop_
_atom_site_label
_atom_site_fract_x
_atom_site_fract_y
_atom_site_fract_z
_atom_site_occupancy
Al1 0.000 0.000 0.000 1
Al2 0.000 0.333 0.000 1
Al3 0.247 0.252 0.331 1
Ge1 0.243 0.090 0.670 1
W1 0.000 0.665 0.000 1
W2 0.242 0.422 0.659 1
```

The 6 most intense peaks (10 to 90 degrees two-theta), by angle:
3.573 Å, intensity 100.0, (1 1 -1); 2.288 Å, intensity 72.8, (1 3 -1); 2.281 Å, intensity 66.1, (2 0 1); 2.241 Å, intensity 48.5, (0 0 3); 2.104 Å, intensity 33.9, (0 4 0); 1.966 Å, intensity 35.8, (1 3 2)

***

No. 9
For Cs3Fe2Cl9, DFT lattice parameters and positions (GGA-PBE) gives the theoretical powder XRD pattern in this record (λ = 1.5418 Å (Cu Kα)).
Neutral-atom scattering factors, no anomalous dispersion.

```
data_Cs3Fe2Cl9
_chemical_formula_sum 'Cs3 Fe2 Cl9'
_cell_length_a 7.3621
_cell_length_b 7.3621
_cell_length_c 8.9643
_cell_angle_alpha 90.00
_cell_angle_beta 90.00
_cell_angle_gamma 120.00
_symmetry_space_group_name_H-M 'P -3 m 1'
_symmetry_Int_Tables_number 164
_symmetry_space_group_name_Hall '-P 3 2"'
loop_
_atom_site_label
_atom_site_fract_x
_atom_site_fract_y
_atom_site_fract_z
_atom_site_occupancy
Cs1 0.0000 0.0000 0.0000 1
Cs2 0.3333 0.6667 0.3306 1
Fe1 0.3333 0.6667 0.8143 1
Cl1 0.0000 0.5000 0.0000 1
Cl2 0.1788 0.3575 0.6847 1
```

The 6 most intense peaks (10 to 90 degrees two-theta), by angle:
3.674 Å, intensity 100.0, (1 1 0); 3.004 Å, intensity 65.9, (2 0 1); 2.598 Å, intensity 82.5, (0 2 2); 2.123 Å, intensity 33.1, (3 0 0); 1.841 Å, intensity 27.4, (2 2 0); 1.833 Å, intensity 26.8, (2 0 4)

***

What is the formula in the fifth record? Ho2As7Rh12

***

Copy entry 5 word for word.
For Ho2As7Rh12, DFT lattice parameters and positions (GGA-PBE) gives the theoretical powder XRD pattern in this record (λ = 1.5418 Å (Cu Kα)).
Neutral-atom scattering factors, no anomalous dispersion.

```
data_Ho2As7Rh12
_chemical_formula_sum 'Ho2 As7 Rh12'
_cell_length_a 10.0165
_cell_length_b 10.0165
_cell_length_c 3.9239
_cell_angle_alpha 90.00
_cell_angle_beta 90.00
_cell_angle_gamma 120.00
_symmetry_space_group_name_H-M 'P -3'
_symmetry_Int_Tables_number 147
loop_
_symmetry_equiv_pos_as_xyz
'x,y,z'
'-x,-y,-z'
'-y,x-y,z'
'y,-x+y,-z'
'-x+y,-x,z'
'x-y,x,-z'
loop_
_atom_site_label
_atom_site_fract_x
_atom_site_fract_y
_atom_site_fract_z
_atom_site_occupancy
Ho1 0.3333 0.6667 0.2506 1
As1 0.0000 0.0000 0.5000 1
As2 0.1183 0.7129 0.7511 1
Rh1 0.0672 0.4491 0.7510 1
Rh2 0.1145 0.2635 0.2491 1
```

The 6 most intense peaks (10 to 90 degrees two-theta), by angle:
2.516 Å, intensity 100.0, (2 1 1); 2.504 Å, intensity 10.0, (2 2 0); 2.051 Å, intensity 14.1, (4 -1 1); 1.962 Å, intensity 17.5, (0 0 2); 1.893 Å, intensity 25.8, (1 4 0); 1.362 Å, intensity 14.0, (1 4 2)